# BePd
Computed powder XRD pattern, Cu Ka. Input: a crystal structure in OQMD, relaxed with GGA-PBE.
Lines closer than 0.1° are merged.

Cell and atoms:
```
BePd
1.0
2.8190 0.0000 0.0000
0.0000 2.8190 0.0000
0.0000 0.0000 2.8190
Be Pd
1 1
direct
0.0000 0.0000 0.0000
0.5000 0.5000 0.5000
```

The 5 most intense peaks (2θ = 10–80°), sorted by position:
d_spacing  Position (°2θ)  intensity
2.819  31.7  1000
1.993  45.5  907
1.628  56.5  253
1.409  66.3  144
1.261  75.4  316

---

# BePd5
Computed powder XRD pattern, Cu Ka. Input: a crystal structure in OQMD, relaxed with GGA-PBE.
Lines closer than 0.1° are merged.

Cell and atoms:
```
BePd5
1.0
5.0385 0.0000 0.0000
-2.5192 4.3634 0.0000
0.0000 0.0000 4.5460
Be Pd
1 5
direct
0.0000 0.0000 0.0000
0.0000 0.5000 0.5000
0.3333 0.6667 0.0000
0.5000 0.0000 0.5000
0.5000 0.5000 0.5000
0.6667 0.3333 0.0000
```

The 6 most intense peaks (2θ = 10–80°), sorted by position:
d_spacing  Position (°2θ)  intensity
4.363  20.4  1000
2.273  39.7  399
2.203  41.0  797
2.016  45.0  247
1.967  46.2  940
1.245  76.5  203

---

# BePd2
Computed powder XRD pattern, Cu Ka. Input: a crystal structure in OQMD, relaxed with GGA-PBE.
Lines closer than 0.1° are merged.

Cell and atoms:
```
BePd2
1.0
2.7663 0.0000 0.0000
0.0000 2.7663 0.0000
0.0000 0.0000 9.8354
Be Pd
2 4
direct
0.0000 0.0000 0.0000
0.5000 0.5000 0.5000
0.0000 0.0000 0.3566
0.0000 0.0000 0.6434
0.5000 0.5000 0.1434
0.5000 0.5000 0.8566
```

The 6 most intense peaks (2θ = 10–80°), sorted by position:
d_spacing  Position (°2θ)  intensity
2.663  33.7  792
2.459  36.5  338
2.114  42.8  1000
1.956  46.4  477
1.531  60.5  304
1.253  76.0  192

---

# Be2Pd2W3
Computed powder XRD pattern, Cu Ka. Input: a crystal structure in OQMD, relaxed with GGA-PBE.
Lines closer than 0.1° are merged.

Cell and atoms:
```
Be2Pd2W3
1.0
2.1345 1.2324 6.1858
-2.1345 1.2324 6.1858
0.0000 -2.4648 6.1858
Be Pd W
2 2 3
direct
0.0000 0.0000 0.0000
0.4338 0.4338 0.4338
0.1310 0.1310 0.1310
0.7156 0.7156 0.7156
0.2892 0.2892 0.2892
0.5724 0.5724 0.5724
0.8599 0.8599 0.8599
```

The 6 most intense peaks (2θ = 10–80°), sorted by position:
d_spacing  Position (°2θ)  intensity
6.186  14.3  498
2.891  30.9  407
2.154  41.9  980
2.135  42.3  1000
1.516  61.1  323
1.236  77.2  332

---

# PrBe4
Computed powder XRD pattern, Cu Ka. Input: a crystal structure in OQMD, relaxed with GGA-PBE.
Lines closer than 0.1° are merged.

Cell and atoms:
```
PrBe4
1.0
3.1403 0.0000 0.0000
0.0000 3.1403 0.0000
0.0000 0.0000 13.9208
Pr Be
2 8
direct
0.2500 0.2500 0.1957
0.7500 0.7500 0.8043
0.2500 0.2500 0.4984
0.2500 0.7500 0.0000
0.2500 0.7500 0.3890
0.2500 0.7500 0.6110
0.7500 0.2500 0.0000
0.7500 0.2500 0.3890
0.7500 0.2500 0.6110
0.7500 0.7500 0.5016
```

The 6 most intense peaks (2θ = 10–80°), sorted by position:
d_spacing  Position (°2θ)  intensity
6.960  12.7  795
4.640  19.1  506
3.063  29.2  1000
2.862  31.2  372
2.331  38.6  508
2.003  45.3  320

---

# BePt5
Computed powder XRD pattern, Cu Ka. Input: a crystal structure in OQMD, relaxed with GGA-PBE.
Lines closer than 0.1° are merged.

Cell and atoms:
```
BePt5
1.0
10.8619 0.0000 0.0000
0.0000 3.9126 0.0000
0.0000 0.0000 8.2109
Be Pt
4 20
direct
0.0764 0.2500 0.1129
0.4236 0.7500 0.6129
0.5764 0.2500 0.3871
0.9236 0.7500 0.8871
0.0370 0.2500 0.7869
0.0681 0.2500 0.4198
0.1535 0.7500 0.9613
0.1887 0.7500 0.6086
0.2080 0.7500 0.2836
0.2920 0.2500 0.7836
0.3113 0.2500 0.1086
0.3465 0.2500 0.4613
0.4319 0.7500 0.9198
0.4630 0.7500 0.2869
0.5370 0.2500 0.7131
0.5681 0.2500 0.0802
0.6535 0.7500 0.5387
0.6887 0.7500 0.8914
0.7080 0.7500 0.2164
0.7920 0.2500 0.7164
0.8113 0.2500 0.3914
0.8465 0.2500 0.0387
0.9319 0.7500 0.5802
0.9630 0.7500 0.2131
```

The 6 most intense peaks (2θ = 10–80°), sorted by position:
d_spacing  Position (°2θ)  intensity
2.243  40.2  910
2.231  40.4  1000
2.196  41.1  317
1.956  46.4  448
1.928  47.1  450
1.373  68.3  302

---

# Be4Pt3
Computed powder XRD pattern, Cu Ka. Input: a crystal structure in OQMD, relaxed with GGA-PBE.
Lines closer than 0.1° are merged.

Cell and atoms:
```
Be4Pt3
1.0
5.2710 3.0432 1.6277
-5.2710 3.0432 1.6277
0.0000 -6.0864 1.6277
Be Pt
8 6
direct
0.0000 0.0000 0.0000
0.0727 0.7881 0.6462
0.2119 0.3538 0.9273
0.3538 0.9273 0.2119
0.5000 0.5000 0.5000
0.6462 0.0727 0.7881
0.7881 0.6462 0.0727
0.9273 0.2119 0.3538
0.1396 0.5575 0.2783
0.2783 0.1396 0.5575
0.4425 0.7217 0.8604
0.5575 0.2783 0.1396
0.7217 0.8604 0.4425
0.8604 0.4425 0.7217
```

The 6 most intense peaks (2θ = 10–80°), sorted by position:
d_spacing  Position (°2θ)  intensity
5.271  16.8  80
2.818  31.8  1000
1.993  45.5  849
1.627  56.6  265
1.409  66.3  147
1.260  75.4  330

---

# BeZnSiPt
Computed powder XRD pattern, Cu Ka. Input: a crystal structure in OQMD, relaxed with GGA-PBE.
Lines closer than 0.1° are merged.

Cell and atoms:
```
BeZnSiPt
1.0
5.9329 0.0000 0.0000
0.0000 5.9329 0.0000
0.0000 0.0000 5.9329
Be Zn Si Pt
4 4 4 4
direct
0.0000 0.0000 0.0000
0.0000 0.5000 0.5000
0.5000 0.0000 0.5000
0.5000 0.5000 0.0000
0.2500 0.2500 0.7500
0.2500 0.7500 0.2500
0.7500 0.2500 0.2500
0.7500 0.7500 0.7500
0.0000 0.0000 0.5000
0.0000 0.5000 0.0000
0.5000 0.0000 0.0000
0.5000 0.5000 0.5000
0.2500 0.2500 0.2500
0.2500 0.7500 0.7500
0.7500 0.2500 0.7500
0.7500 0.7500 0.2500
```

The 6 most intense peaks (2θ = 10–80°), sorted by position:
d_spacing  Position (°2θ)  intensity
3.425  26.0  424
2.966  30.1  775
2.098  43.1  1000
1.789  51.1  215
1.327  71.1  269
1.211  79.1  337

---

# SrBePt
Computed powder XRD pattern, Cu Ka. Input: a crystal structure in OQMD, relaxed with GGA-PBE.
Lines closer than 0.1° are merged.

Cell and atoms:
```
SrBePt
1.0
6.6069 0.0000 0.0000
0.0000 6.6069 0.0000
0.0000 0.0000 6.6069
Sr Be Pt
4 4 4
direct
0.0000 0.0000 0.0000
0.0000 0.5000 0.5000
0.5000 0.0000 0.5000
0.5000 0.5000 0.0000
0.0000 0.0000 0.5000
0.0000 0.5000 0.0000
0.5000 0.0000 0.0000
0.5000 0.5000 0.5000
0.2500 0.2500 0.7500
0.2500 0.7500 0.2500
0.7500 0.2500 0.2500
0.7500 0.7500 0.7500
```

The 6 most intense peaks (2θ = 10–80°), sorted by position:
d_spacing  Position (°2θ)  intensity
3.815  23.3  1000
2.336  38.5  777
1.992  45.5  519
1.516  61.1  218
1.349  69.7  275
1.272  74.6  163

---

# PuBe13
Computed powder XRD pattern, Cu Ka. Input: a crystal structure in OQMD, relaxed with GGA-PBE.
Lines closer than 0.1° are merged.

Cell and atoms:
```
PuBe13
1.0
0.0000 5.1010 5.1010
5.1010 0.0000 5.1010
5.1010 5.1010 0.0000
Pu Be
2 26
direct
0.2500 0.2500 0.2500
0.7500 0.7500 0.7500
0.0000 0.0000 0.0000
0.0614 0.2910 0.7090
0.0614 0.7090 0.9386
0.0614 0.9386 0.2910
0.2090 0.4386 0.7910
0.2090 0.5614 0.4386
0.2090 0.7910 0.5614
0.2910 0.0614 0.9386
0.2910 0.7090 0.0614
0.2910 0.9386 0.7090
0.4386 0.2090 0.5614
0.4386 0.5614 0.7910
0.4386 0.7910 0.2090
0.5000 0.5000 0.5000
0.5614 0.2090 0.7910
0.5614 0.4386 0.2090
0.5614 0.7910 0.4386
0.7090 0.0614 0.2910
0.7090 0.2910 0.9386
0.7090 0.9386 0.0614
0.7910 0.2090 0.4386
0.7910 0.4386 0.5614
0.7910 0.5614 0.2090
0.9386 0.0614 0.7090
0.9386 0.2910 0.0614
0.9386 0.7090 0.2910
```

The 6 most intense peaks (2θ = 10–80°), sorted by position:
d_spacing  Position (°2θ)  intensity
5.101  17.4  968
3.607  24.7  1000
2.945  30.3  428
2.281  39.5  691
2.082  43.5  570
1.363  68.9  278

---

# Rb2Be2Zn3
Computed powder XRD pattern, Cu Ka. Input: a crystal structure in OQMD, relaxed with GGA-PBE.
Lines closer than 0.1° are merged.

Cell and atoms:
```
Rb2Be2Zn3
1.0
2.0874 1.2051 12.3752
-2.0874 1.2051 12.3752
0.0000 -2.4103 12.3752
Rb Be Zn
2 2 3
direct
0.0000 0.0000 0.0000
0.4450 0.4450 0.4450
0.1921 0.1921 0.1921
0.5990 0.5990 0.5990
0.2585 0.2585 0.2585
0.5370 0.5370 0.5370
0.8553 0.8553 0.8553
```

The 6 most intense peaks (2θ = 10–80°), sorted by position:
d_spacing  Position (°2θ)  intensity
3.549  25.1  539
3.369  26.5  441
3.251  27.4  503
2.987  29.9  1000
2.467  36.4  424
2.087  43.3  818

---

# ScBeZnSb
Computed powder XRD pattern, Cu Ka. Input: a crystal structure in OQMD, relaxed with GGA-PBE.
Lines closer than 0.1° are merged.

Cell and atoms:
```
ScBeZnSb
1.0
6.6784 0.0000 0.0000
0.0000 6.6784 0.0000
0.0000 0.0000 6.6784
Sc Be Zn Sb
4 4 4 4
direct
0.0000 0.0000 0.0000
0.0000 0.5000 0.5000
0.5000 0.0000 0.5000
0.5000 0.5000 0.0000
0.0000 0.0000 0.5000
0.0000 0.5000 0.0000
0.5000 0.0000 0.0000
0.5000 0.5000 0.5000
0.2500 0.2500 0.2500
0.2500 0.7500 0.7500
0.7500 0.2500 0.7500
0.7500 0.7500 0.2500
0.2500 0.2500 0.7500
0.2500 0.7500 0.2500
0.7500 0.2500 0.2500
0.7500 0.7500 0.7500
```

The 6 most intense peaks (2θ = 10–80°), sorted by position:
d_spacing  Position (°2θ)  intensity
3.856  23.1  166
3.339  26.7  430
2.361  38.1  1000
1.670  55.0  165
1.493  62.2  162
1.363  68.9  325

---

What did the sixth record say?
# BePt5
Computed powder XRD pattern, Cu Ka. Input: a crystal structure in OQMD, relaxed with GGA-PBE.
Lines closer than 0.1° are merged.

Cell and atoms:
```
BePt5
1.0
10.8619 0.0000 0.0000
0.0000 3.9126 0.0000
0.0000 0.0000 8.2109
Be Pt
4 20
direct
0.0764 0.2500 0.1129
0.4236 0.7500 0.6129
0.5764 0.2500 0.3871
0.9236 0.7500 0.8871
0.0370 0.2500 0.7869
0.0681 0.2500 0.4198
0.1535 0.7500 0.9613
0.1887 0.7500 0.6086
0.2080 0.7500 0.2836
0.2920 0.2500 0.7836
0.3113 0.2500 0.1086
0.3465 0.2500 0.4613
0.4319 0.7500 0.9198
0.4630 0.7500 0.2869
0.5370 0.2500 0.7131
0.5681 0.2500 0.0802
0.6535 0.7500 0.5387
0.6887 0.7500 0.8914
0.7080 0.7500 0.2164
0.7920 0.2500 0.7164
0.8113 0.2500 0.3914
0.8465 0.2500 0.0387
0.9319 0.7500 0.5802
0.9630 0.7500 0.2131
```

The 6 most intense peaks (2θ = 10–80°), sorted by position:
d_spacing  Position (°2θ)  intensity
2.243  40.2  910
2.231  40.4  1000
2.196  41.1  317
1.956  46.4  448
1.928  47.1  450
1.373  68.3  302

---

Which formula does entry 4 have? Be2Pd2W3